For Rb3Zn2Br2F5, a PBE-relaxed structure gives the theoretical X-ray diffraction stick pattern in this record (a wavelength of 1.5418 Å).
Neutral-atom scattering factors, no anomalous dispersion.

```
data_Rb3Zn2Br2F5
_chemical_formula_sum 'Rb3 Zn2 Br2 F5'
_space_group_name_H-M_alt 'P 1'
_space_group_IT_number 1
_cell_length_a 12.557
_cell_length_b 12.557
_cell_length_c 12.557
_cell_angle_alpha 159.41
_cell_angle_beta 159.41
_cell_angle_gamma 29.27
loop_
_space_group_symop_operation_xyz
'x,y,z'
loop_
_atom_site_label
_atom_site_type_symbol
_atom_site_fract_x
_atom_site_fract_y
_atom_site_fract_z
_atom_site_occupancy
Rb1 Rb 0.000 0.000 0.000 1
Rb2 Rb 0.158 0.158 0.000 1
Rb3 Rb 0.842 0.842 0.000 1
Zn1 Zn 0.417 0.417 0.000 1
Zn2 Zn 0.583 0.583 0.000 1
Br1 Br 0.313 0.313 0.000 1
Br2 Br 0.687 0.687 0.000 1
F1 F 0.081 0.581 0.500 1
F2 F 0.419 0.919 0.500 1
F3 F 0.500 0.500 0.000 1
F4 F 0.581 0.081 0.500 1
F5 F 0.919 0.419 0.500 1
```

Most intense lines, 2θ from 15° to 90°, low angle first:
28.12°, d 3.173, rel. 100; 32.61°, d 2.746, rel. 78; 35.96°, d 2.498, rel. 43; 40.20°, d 2.244, rel. 65; 44.76°, d 2.025, rel. 12; 52.69°, d 1.737, rel. 40; 53.70°, d 1.707, rel. 13; 58.15°, d 1.586, rel. 20; 61.71°, d 1.503, rel. 17; 65.82°, d 1.419, rel. 18; 77.63°, d 1.230, rel. 12; 82.31°, d 1.171, rel. 11